Starting from DFT lattice parameters and positions (PBE), the X-ray diffraction stick pattern of Mg8Hg3Pt2 was calculated for λ = 1.5418 Å (Cu Kα).

Most intense lines, 10° ≤ 2θ ≤ 90°, sorted by position:
d [Å]	I/Imax
7.509	18
3.935	17
3.822	44
3.754	43
3.402	31
3.224	51
2.340	100
2.310	25
2.251	22
1.612	16
1.457	16
1.339	17

Atomic structure:
```
data_Mg8Hg3Pt2
_chemical_formula_sum 'Mg8 Hg3 Pt2'
_cell_length_a 8.1584
_cell_length_b 8.1584
_cell_length_c 4.6197
_cell_angle_alpha 90.00
_cell_angle_beta 90.00
_cell_angle_gamma 113.02
_space_group_name_H-M_alt 'P 1'
_space_group_IT_number 1
_space_group_name_Hall 'P 1'
loop_
_atom_site_label
_atom_site_type_symbol
_atom_site_fract_x
_atom_site_fract_y
_atom_site_fract_z
_atom_site_occupancy
Mg1 Mg 0.1209 0.3993 0.5000 1
Mg2 Mg 0.1395 0.8605 0.0000 1
Mg3 Mg 0.3545 0.6455 0.0000 1
Mg4 Mg 0.3993 0.1209 0.5000 1
Mg5 Mg 0.6007 0.8791 0.5000 1
Mg6 Mg 0.6455 0.3545 0.0000 1
Mg7 Mg 0.8605 0.1395 0.0000 1
Mg8 Mg 0.8791 0.6007 0.5000 1
Hg1 Hg 0.0000 0.0000 0.5000 1
Hg2 Hg 0.2642 0.2642 0.0000 1
Hg3 Hg 0.7358 0.7358 0.0000 1
Pt1 Pt 0.2443 0.7557 0.5000 1
Pt2 Pt 0.7557 0.2443 0.5000 1
```